Diffraction record for Ho2PdO. The powder diffractogram is theoretical, not measured: it uses a structure optimized by DFT (PBE) and Cu Kα (λ = 1.5418 Å).

Cell and atoms:
abc: 5.8750 5.8813 10.7652
angles: 90.00 116.70 90.00
Positions (direct):
1 Ho 0.0388 0.2415 0.0904
2 Ho 0.0388 0.7585 0.5904
3 Ho 0.3167 0.1977 0.8502
4 Ho 0.3167 0.8023 0.3502
5 Ho 0.6833 0.1977 0.6498
6 Ho 0.6833 0.8023 0.1498
7 Ho 0.9612 0.2415 0.4096
8 Ho 0.9612 0.7585 0.9096
9 Pd 0.4254 0.3226 0.3641
10 Pd 0.4254 0.6774 0.8641
11 Pd 0.5746 0.3226 0.1359
12 Pd 0.5746 0.6774 0.6359
13 O 0.0304 0.1295 0.6235
14 O 0.0304 0.8705 0.1235
15 O 0.9696 0.1295 0.8765
16 O 0.9696 0.8705 0.3765

Principal peaks in the range 5° ≤ 2θ ≤ 70°, in order of falling intensity:
d 2.943, I 100
d 2.921, I 67
d 3.027, I 54
d 2.814, I 43
d 2.404, I 38
d 2.072, I 34
d 3.265, I 29
d 2.129, I 25
d 1.861, I 21
d 1.766, I 17

Diffraction record for Pm12GaSn6. The powder diffractogram is theoretical, not measured: it uses a structure optimized by DFT (PBE) and Cu Kα (λ = 1.5418 Å).

Cell and atoms:
abc: 8.9437 8.9437 8.9437
angles: 99.80 99.80 99.80
Positions (direct):
1 Pm 0.0387 0.9427 0.6772
2 Pm 0.0573 0.3228 0.9613
3 Pm 0.1901 0.5625 0.4236
4 Pm 0.3228 0.9613 0.0573
5 Pm 0.4236 0.1901 0.5625
6 Pm 0.4375 0.5764 0.8099
7 Pm 0.5625 0.4236 0.1901
8 Pm 0.5764 0.8099 0.4375
9 Pm 0.6772 0.0387 0.9427
10 Pm 0.8099 0.4375 0.5764
11 Pm 0.9427 0.6772 0.0387
12 Pm 0.9613 0.0573 0.3228
13 Ga 0.0000 0.0000 0.0000
14 Sn 0.1254 0.3077 0.6236
15 Sn 0.3077 0.6236 0.1254
16 Sn 0.3764 0.8746 0.6923
17 Sn 0.6236 0.1254 0.3077
18 Sn 0.6923 0.3764 0.8746
19 Sn 0.8746 0.6923 0.3764

Principal peaks in the range 5° ≤ 2θ ≤ 70°, in order of falling intensity:
d 2.574, I 100
d 2.586, I 99
d 2.913, I 71
d 4.219, I 54
d 3.648, I 47
d 3.040, I 45
d 2.495, I 28
d 1.824, I 26
d 2.203, I 25
d 1.407, I 24

Diffraction record for Pm4Pr4Sm. The powder diffractogram is theoretical, not measured: it uses a structure optimized by DFT (PBE) and Cu Kα (λ = 1.5418 Å).

Cell and atoms:
abc: 8.2237 8.2237 8.2237
angles: 95.73 95.73 143.15
Positions (direct):
1 Pm 0.0000 0.3341 0.3341
2 Pm 0.0000 0.6659 0.6659
3 Pm 0.3341 0.0000 0.3341
4 Pm 0.6659 0.0000 0.6659
5 Pr 0.3335 0.3335 0.6669
6 Pr 0.3335 0.6665 0.0000
7 Pr 0.6665 0.3335 0.0000
8 Pr 0.6665 0.6665 0.3331
9 Sm 0.0000 0.0000 0.0000

Principal peaks in the range 5° ≤ 2θ ≤ 70°, in order of falling intensity:
d 3.002, I 100
d 2.600, I 51
d 1.568, I 43
d 1.839, I 36
d 1.501, I 13